1.
The following is a computed powder diffractogram of CsZrCu3Se4. It was derived from a PBE-relaxed structure, using λ = 1.5418 Å (Cu Kα).

Atomic structure:
Lattice parameters (Å, degrees): 6.451 6.451 6.451 90.00 90.00 90.00
Atoms (fractional coordinates):
Cs  0.000  0.000  0.000
Zr  0.500  0.500  0.500
Cu  0.000  0.500  0.500
Cu  0.500  0.000  0.500
Cu  0.500  0.500  0.000
Se  0.278  0.278  0.722
Se  0.278  0.722  0.278
Se  0.722  0.278  0.278
Se  0.722  0.722  0.722

Top 10 peaks for 10 to 90 degrees two-theta, sorted by position:
d_spacing, 2θ/deg, I_rel
6.451, 13.7, 11
4.561, 19.5, 33
3.724, 23.9, 76
2.633, 34.0, 19
2.281, 39.5, 100
1.945, 46.7, 32
1.724, 53.1, 14
1.613, 57.1, 15
1.480, 62.8, 10
1.317, 71.7, 27

2.
The following is a computed powder diffractogram of CsTi2Cu2Te8. It was derived from a PBE-relaxed structure, using λ = 1.5418 Å (Cu Kα).

Atomic structure:
Lattice parameters (Å, degrees): 10.243 10.243 13.453 128.75 128.75 22.70
Atoms (fractional coordinates):
Cs  0.000  0.000  0.000
Ti  0.308  0.308  0.176
Ti  0.714  0.714  0.566
Cu  0.252  0.252  0.433
Cu  0.770  0.770  0.303
Te  0.092  0.092  0.520
Te  0.316  0.316  0.966
Te  0.335  0.335  0.678
Te  0.381  0.381  0.425
Te  0.642  0.642  0.317
Te  0.687  0.687  0.056
Te  0.699  0.699  0.767
Te  0.929  0.929  0.222

Top 10 peaks for 10 to 90 degrees two-theta, sorted by position:
d_spacing, 2θ/deg, I_rel
7.730, 11.4, 56
3.315, 26.9, 80
3.176, 28.1, 100
3.129, 28.5, 43
2.997, 29.8, 44
2.900, 30.8, 25
2.559, 35.1, 22
2.015, 45.0, 73
1.928, 47.1, 22
1.723, 53.2, 25